1.
Calculated powder diffractogram
Compound: Zr2Sc
Radiation: Cu Kα X-rays
Structure: a structure optimized by DFT (PBE)
Intensities are scaled so that the largest is 100.

Main lines, in order of rising 2θ (2θ from 10° to 90°):
2θ (°)  Rel. int.
10.49  20
31.97  28
34.79  40
36.41  58
36.52  100
47.94  23
56.81  18
63.48  29
68.37  20
69.60  16

Structural model:
Cell lengths 3.2283, 5.1573, 16.8626 Å; angles 90.00, 90.00, 90.00 degrees
Element x y z (fractional)
Zr  0.2500  0.2500  0.0275
Zr  0.2500  0.2500  0.3652
Zr  0.2500  0.7500  0.1353
Zr  0.2500  0.7500  0.4724
Zr  0.7500  0.2500  0.5276
Zr  0.7500  0.2500  0.8647
Zr  0.7500  0.7500  0.6348
Zr  0.7500  0.7500  0.9725
Sc  0.2500  0.2500  0.6958
Sc  0.2500  0.7500  0.8040
Sc  0.7500  0.2500  0.1960
Sc  0.7500  0.7500  0.3042

2.
Calculated powder diffractogram
Compound: ZrSc
Radiation: Cu Kα X-rays
Structure: a structure optimized by DFT (PBE)
Intensities are scaled so that the largest is 100.

Main lines, in order of rising 2θ (2θ from 10° to 90°):
2θ (°)  Rel. int.
10.47  9
31.77  25
35.04  25
36.40  100
48.01  15
56.57  6
56.60  12
63.74  18
68.32  19
69.18  14

Structural model:
Cell lengths 6.5077, 16.8958, 5.1222 Å; angles 90.00, 90.00, 90.00 degrees
Element x y z (fractional)
Zr  0.1190  0.1417  0.2500
Zr  0.1190  0.3583  0.7500
Zr  0.1250  0.6948  0.7500
Zr  0.1250  0.8052  0.2500
Zr  0.3694  0.6421  0.2500
Zr  0.3694  0.8579  0.7500
Zr  0.6306  0.1421  0.2500
Zr  0.6306  0.3579  0.7500
Zr  0.8750  0.1948  0.7500
Zr  0.8750  0.3052  0.2500
Zr  0.8810  0.6417  0.2500
Zr  0.8810  0.8583  0.7500
Sc  0.1243  0.0283  0.7500
Sc  0.1243  0.4717  0.2500
Sc  0.3740  0.5275  0.7500
Sc  0.3740  0.9725  0.2500
Sc  0.3745  0.1934  0.7500
Sc  0.3745  0.3066  0.2500
Sc  0.6255  0.6934  0.7500
Sc  0.6255  0.8066  0.2500
Sc  0.6260  0.0275  0.7500
Sc  0.6260  0.4725  0.2500
Sc  0.8757  0.5283  0.7500
Sc  0.8757  0.9717  0.2500

3.
Calculated powder diffractogram
Compound: Sm3SiSe2
Radiation: Cu Kα X-rays
Structure: a structure optimized by DFT (PBE)
Intensities are scaled so that the largest is 100.

Main lines, in order of rising 2θ (2θ from 10° to 90°):
2θ (°)  Rel. int.
26.00  47
30.03  100
30.25  50
42.99  37
43.15  74
50.93  15
53.43  20
53.51  20
70.91  25
71.28  17

Structural model:
Cell lengths 7.2841, 7.2841, 7.2841 Å; angles 146.46, 132.14, 59.70 degrees
Element x y z (fractional)
Sm  0.0000  0.0000  0.0000
Sm  0.3413  0.3413  0.0000
Sm  0.6587  0.6587  0.0000
Si  0.5000  0.0000  0.5000
Se  0.1683  0.6683  0.5000
Se  0.8317  0.3317  0.5000